# Li2Zn5Ag2
Calculated powder diffraction line list, Cu Ka. Input: a cell relaxed with GGA-PBE.
No peak broadening, texture or thermal motion is included.

Cell and atoms:
Unit cell a=9.264 b=4.400 c=8.158 alpha=90.00 beta=124.29 gamma=90.00
Space group C2/m (No. 12)
One atom of each set of equivalent atoms:
Li 0.167 0.000 0.240 (multiplicity 4)
Zn 0.000 0.500 0.000 (multiplicity 2)
Zn 0.164 0.000 0.573 (multiplicity 4)
Zn 0.176 0.000 0.906 (multiplicity 4)
Ag 0.005 0.500 0.328 (multiplicity 4)

Most intense lines, 2θ from 10° to 90°, most intense first:
d/Å, intensity, index
2.229, 100, 1 1 -3
2.207, 96, 3 1 0
2.200, 62, 0 2 0
2.187, 44, 4 0 -3
3.818, 41, 1 1 0
1.551, 28, 4 2 -3
3.809, 24, 2 0 -2
1.276, 22, 6 0 0
2.978, 21, 1 1 1
4.632, 20, 2 0 -1